# 1
Simulated powder diffractogram of Dy2Er2Tm3Ni2Te2 for copper Kα, from the PBE geometry in OQMD.

Structure:
Cell lengths 3.823, 15.480, 9.502 Å; angles 90.00, 90.00, 90.00 degrees
Space group Imm2 (No. 44)
Symmetry-distinct sites (fractional):
Dy 0.000 0.185 0.000 [4 per cell]
Er 0.000 0.146 0.351 [4 per cell]
Tm 0.000 0.367 0.204 [4 per cell]
Tm 0.000 0.500 0.621 [2 per cell]
Ni 0.000 0.262 0.693 [4 per cell]
Te 0.000 0.000 0.855 [2 per cell]
Te 0.000 0.500 0.959 [2 per cell]

Top 8 peaks for 5° ≤ 2θ ≤ 70°, in order of falling intensity:
d = 2.615 Å, I 100, hkl 1 4 1
d = 2.699 Å, I 78, hkl 0 3 3
d = 2.580 Å, I 71, hkl 0 6 0
d = 2.925 Å, I 51, hkl 1 1 2
d = 1.560 Å, I 36, hkl 2 3 3
d = 1.912 Å, I 29, hkl 2 0 0
d = 1.775 Å, I 27, hkl 1 7 2
d = 2.944 Å, I 21, hkl 0 5 1



# 2
Simulated powder diffractogram of Dy4Er2TmNi2Te2 for copper Kα, from the PBE geometry in OQMD.

Structure:
Cell lengths 3.842, 15.579, 9.542 Å; angles 90.00, 90.00, 90.00 degrees
Space group Imm2 (No. 44)
Symmetry-distinct sites (fractional):
Dy 0.000 0.146 0.000 [4 per cell]
Dy 0.000 0.185 0.649 [4 per cell]
Er 0.000 0.367 0.853 [4 per cell]
Tm 0.000 0.500 0.270 [2 per cell]
Ni 0.000 0.262 0.342 [4 per cell]
Te 0.000 0.000 0.505 [2 per cell]
Te 0.000 0.500 0.608 [2 per cell]

Top 8 peaks for 5° ≤ 2θ ≤ 70°, in order of falling intensity:
d = 2.629 Å, I 100, hkl 1 4 1
d = 2.712 Å, I 78, hkl 0 3 3
d = 2.594 Å, I 72, hkl 0 6 0
d = 2.939 Å, I 51, hkl 1 1 2
d = 1.568 Å, I 30, hkl 2 3 3
d = 1.921 Å, I 28, hkl 2 0 0
d = 2.962 Å, I 22, hkl 0 5 1
d = 2.450 Å, I 21, hkl 1 0 3



# 3
Simulated powder diffractogram of Dy3Er2Tm2Ni2Te2 for copper Kα, from the PBE geometry in OQMD.

Structure:
Cell lengths 3.825, 15.472, 9.481 Å; angles 90.00, 90.00, 90.00 degrees
Space group Imm2 (No. 44)
Symmetry-distinct sites (fractional):
Dy 0.000 0.000 0.000 [2 per cell]
Dy 0.000 0.315 0.379 [4 per cell]
Er 0.000 0.354 0.730 [4 per cell]
Tm 0.000 0.133 0.583 [4 per cell]
Ni 0.000 0.238 0.072 [4 per cell]
Te 0.000 0.000 0.338 [2 per cell]
Te 0.000 0.500 0.235 [2 per cell]

Top 8 peaks for 5° ≤ 2θ ≤ 70°, in order of falling intensity:
d = 2.614 Å, I 100, hkl 1 4 1
d = 2.695 Å, I 77, hkl 0 3 3
d = 2.578 Å, I 73, hkl 0 6 0
d = 2.923 Å, I 50, hkl 1 1 2
d = 1.560 Å, I 30, hkl 2 3 3
d = 1.913 Å, I 29, hkl 2 0 0
d = 2.942 Å, I 21, hkl 0 5 1
d = 2.436 Å, I 21, hkl 1 0 3



# 4
Simulated powder diffractogram of Dy4Er2TmNi2Te2 for copper Kα, from the PBE geometry in OQMD.

Structure:
Cell lengths 3.832, 15.577, 9.547 Å; angles 90.00, 90.00, 90.00 degrees
Space group Imm2 (No. 44)
Symmetry-distinct sites (fractional):
Dy 0.000 0.133 0.000 [4 per cell]
Dy 0.000 0.315 0.797 [4 per cell]
Er 0.000 0.354 0.147 [4 per cell]
Tm 0.000 0.000 0.418 [2 per cell]
Ni 0.000 0.237 0.490 [4 per cell]
Te 0.000 0.000 0.754 [2 per cell]
Te 0.000 0.500 0.654 [2 per cell]

Top 8 peaks for 5° ≤ 2θ ≤ 70°, in order of falling intensity:
d = 2.626 Å, I 100, hkl 1 4 1
d = 2.713 Å, I 78, hkl 0 3 3
d = 2.592 Å, I 70, hkl 0 6 0
d = 2.935 Å, I 51, hkl 1 1 2
d = 1.565 Å, I 36, hkl 2 3 3
d = 1.916 Å, I 28, hkl 2 0 0
d = 3.083 Å, I 22, hkl 1 3 0
d = 2.962 Å, I 22, hkl 0 5 1



# 5
Simulated powder diffractogram of Dy2YEr2Tm2Ni2Te2 for copper Kα, from the PBE geometry in OQMD.

Structure:
Cell lengths 3.839, 15.536, 9.483 Å; angles 90.00, 90.00, 90.00 degrees
Space group Imm2 (No. 44)
Symmetry-distinct sites (fractional):
Dy 0.000 0.148 0.000 [4 per cell]
Y 0.000 0.500 0.732 [2 per cell]
Er 0.000 0.185 0.352 [4 per cell]
Tm 0.000 0.367 0.148 [4 per cell]
Ni 0.000 0.261 0.660 [4 per cell]
Te 0.000 0.000 0.498 [2 per cell]
Te 0.000 0.500 0.393 [2 per cell]

Top 8 peaks for 5° ≤ 2θ ≤ 70°, in order of falling intensity:
d = 2.624 Å, I 100, hkl 1 4 1
d = 2.586 Å, I 85, hkl 0 6 0
d = 2.698 Å, I 83, hkl 0 3 3
d = 2.930 Å, I 43, hkl 1 1 2
d = 1.564 Å, I 32, hkl 2 3 3
d = 1.920 Å, I 30, hkl 2 0 0
d = 3.558 Å, I 26, hkl 1 0 1
d = 1.781 Å, I 23, hkl 1 7 2



# 6
Simulated powder diffractogram of DyY2Er2Tm2Ni2Te2 for copper Kα, from the PBE geometry in OQMD.

Structure:
Cell lengths 3.827, 15.490, 9.522 Å; angles 90.00, 90.00, 90.00 degrees
Space group Imm2 (No. 44)
Symmetry-distinct sites (fractional):
Dy 0.000 0.000 0.000 [2 per cell]
Y 0.000 0.315 0.621 [4 per cell]
Er 0.000 0.353 0.270 [4 per cell]
Tm 0.000 0.132 0.419 [4 per cell]
Ni 0.000 0.239 0.927 [4 per cell]
Te 0.000 0.000 0.664 [2 per cell]
Te 0.000 0.500 0.766 [2 per cell]

Top 8 peaks for 5° ≤ 2θ ≤ 70°, in order of falling intensity:
d = 2.617 Å, I 100, hkl 1 4 1
d = 2.704 Å, I 61, hkl 0 3 3
d = 2.582 Å, I 50, hkl 0 6 0
d = 2.929 Å, I 49, hkl 1 1 2
d = 1.562 Å, I 30, hkl 2 3 3
d = 1.776 Å, I 24, hkl 1 7 2
d = 1.914 Å, I 24, hkl 2 0 0
d = 2.004 Å, I 15, hkl 1 1 4



# 7
Simulated powder diffractogram of Dy2YEr2Tm2Ni2Te2 for copper Kα, from the PBE geometry in OQMD.

Structure:
Cell lengths 3.826, 15.511, 9.508 Å; angles 90.00, 90.00, 90.00 degrees
Space group Imm2 (No. 44)
Symmetry-distinct sites (fractional):
Dy 0.000 0.185 0.000 [4 per cell]
Y 0.000 0.500 0.380 [2 per cell]
Er 0.000 0.368 0.798 [4 per cell]
Tm 0.000 0.147 0.649 [4 per cell]
Ni 0.000 0.262 0.308 [4 per cell]
Te 0.000 0.000 0.145 [2 per cell]
Te 0.000 0.500 0.044 [2 per cell]

Top 8 peaks for 5° ≤ 2θ ≤ 70°, in order of falling intensity:
d = 2.618 Å, I 100, hkl 1 4 1
d = 2.702 Å, I 80, hkl 0 3 3
d = 2.583 Å, I 79, hkl 0 6 0
d = 2.927 Å, I 43, hkl 1 1 2
d = 1.561 Å, I 38, hkl 2 3 3
d = 1.913 Å, I 28, hkl 2 0 0
d = 3.550 Å, I 24, hkl 1 0 1
d = 2.328 Å, I 21, hkl 1 2 3



# 8
Simulated powder diffractogram of DyY2Er2Tm2Ni2Te2 for copper Kα, from the PBE geometry in OQMD.

Structure:
Cell lengths 3.844, 15.543, 9.526 Å; angles 90.00, 90.00, 90.00 degrees
Space group Imm2 (No. 44)
Symmetry-distinct sites (fractional):
Dy 0.000 0.000 0.000 [2 per cell]
Y 0.000 0.353 0.268 [4 per cell]
Er 0.000 0.133 0.417 [4 per cell]
Tm 0.000 0.315 0.619 [4 per cell]
Ni 0.000 0.239 0.929 [4 per cell]
Te 0.000 0.000 0.663 [2 per cell]
Te 0.000 0.500 0.764 [2 per cell]

Top 8 peaks for 5° ≤ 2θ ≤ 70°, in order of falling intensity:
d = 2.627 Å, I 100, hkl 1 4 1
d = 2.591 Å, I 91, hkl 0 6 0
d = 2.707 Å, I 80, hkl 0 3 3
d = 2.938 Å, I 49, hkl 1 1 2
d = 1.922 Å, I 34, hkl 2 0 0
d = 1.567 Å, I 30, hkl 2 3 3
d = 2.955 Å, I 28, hkl 0 5 1
d = 3.565 Å, I 24, hkl 1 0 1